Diffraction record for K3H4Au2. The powder diffractogram is theoretical, not measured: it uses a structure optimized by DFT (GGA-PBE) and Cu Kα (weighted mean of Kα1 and Kα2).
Kinematic intensities with the Lorentz-polarization factor, no thermal factor.

Peak list (8 most intense, 5 to 70 degrees two-theta, most intense first)
two_theta  I/Imax
17.69  100
31.88  53
30.42  51
18.52  48
35.86  45
26.32  42
37.55  31
33.26  27

Crystal structure
Cell lengths 7.6055, 7.6055, 7.3077 Å; angles 95.05, 95.05, 78.11 degrees
Fractional positions:
1 K 0.0373 0.9627 0.7500
2 K 0.2547 0.4703 0.9542
3 K 0.4703 0.2547 0.4542
4 K 0.5297 0.7453 0.5458
5 K 0.7453 0.5297 0.0458
6 K 0.9627 0.0373 0.2500
7 H 0.0147 0.6477 0.2034
8 H 0.2376 0.5865 0.6115
9 H 0.3523 0.9853 0.2966
10 H 0.4135 0.7624 0.8885
11 H 0.5865 0.2376 0.1115
12 H 0.6477 0.0147 0.7034
13 H 0.7624 0.4135 0.3885
14 H 0.9853 0.3523 0.7966
15 Au 0.1199 0.6107 0.4096
16 Au 0.3893 0.8801 0.0904
17 Au 0.6107 0.1199 0.9096
18 Au 0.8801 0.3893 0.5904